The following is a theoretical powder diffraction line list of RbSnI3. It was derived from the GGA-PBE geometry in the Materials Project, using Cu Ka.

Structure:
```
data_RbSnI3
_chemical_formula_sum 'Rb4 Sn4 I12'
_space_group_name_H-M_alt 'P n m a'
_space_group_IT_number 62
_cell_length_a 10.5729
_cell_length_b 4.7908
_cell_length_c 17.6362
_cell_angle_alpha 90.00
_cell_angle_beta 90.00
_cell_angle_gamma 90.00
loop_
_space_group_symop_operation_xyz
'x,y,z'
'-x,-y,-z'
'-x+1/2,-y,z+1/2'
'x+1/2,y,-z+1/2'
'x+1/2,-y+1/2,-z+1/2'
'-x+1/2,y+1/2,z+1/2'
'-x,y+1/2,-z'
'x,-y+1/2,z'
loop_
_atom_site_label
_atom_site_type_symbol
_atom_site_fract_x
_atom_site_fract_y
_atom_site_fract_z
Rb1 Rb 0.0844 0.2500 0.1722
Sn1 Sn 0.1622 0.7500 0.4398
I1 I 0.0236 0.7500 0.6153
I2 I 0.1628 0.7500 0.0041
I3 I 0.1997 0.2500 0.7887
```

Top 12 peaks for 2θ = 10–90°, sorted by position:
| 2θ (°) | intensity |
| --- | --- |
| 25.42 | 50.1 |
| 25.60 | 70.8 |
| 26.32 | 36.6 |
| 26.64 | 44.6 |
| 27.08 | 100.0 |
| 31.52 | 46.1 |
| 37.55 | 39.0 |
| 37.69 | 21.6 |
| 40.29 | 19.7 |
| 41.38 | 31.0 |
| 46.63 | 19.0 |
| 67.20 | 16.7 |